Computed powder diffraction line list of Na3SmBr6 for Cu Kα (weighted mean of Kα1 and Kα2), from a DFT-relaxed cell (GGA-PBE, the Materials Project).

Structure:
Cell lengths 7.5127, 8.0418, 31.1044 Å; angles 85.38, 89.96, 62.17 degrees
Fractional positions:
Na  0.0000  0.0000  0.0000
Na  0.0189  0.9572  0.8630
Na  0.1251  0.7531  0.1608
Na  0.1576  0.6777  0.7395
Na  0.1998  0.5995  0.5992
Na  0.2223  0.5591  0.4604
Na  0.4002  0.2009  0.2002
Na  0.4220  0.1595  0.0605
Na  0.5251  0.9531  0.3608
Na  0.5957  0.8209  0.8026
Na  0.6254  0.7586  0.6596
Na  0.7254  0.5542  0.9607
Na  0.8004  0.4009  0.4001
Na  0.8224  0.3590  0.2605
Na  0.9229  0.1538  0.5606
Sm  0.0974  0.8088  0.2999
Sm  0.3019  0.4051  0.8991
Sm  0.4973  0.0088  0.4998
Sm  0.6973  0.6089  0.0999
Sm  0.8880  0.2225  0.7012
Br  0.0042  0.7168  0.9434
Br  0.0360  0.6010  0.8237
Br  0.0717  0.2110  0.9214
Br  0.0760  0.4573  0.6783
Br  0.1513  0.0335  0.7748
Br  0.1724  0.9276  0.6502
Br  0.1998  0.3190  0.5434
Br  0.2428  0.2008  0.4237
Br  0.2718  0.0577  0.2801
Br  0.2722  0.8098  0.5219
Br  0.3566  0.6648  0.3766
Br  0.3719  0.5336  0.2470
Br  0.4004  0.9202  0.1434
Br  0.4428  0.8014  0.0237
Br  0.4698  0.6592  0.8793
Br  0.4725  0.4096  0.1219
Br  0.5552  0.2669  0.9765
Br  0.5811  0.1275  0.8495
Br  0.5988  0.5307  0.7436
Br  0.6413  0.4021  0.6232
Br  0.6709  0.2584  0.4799
Br  0.7084  0.9815  0.7197
Br  0.7569  0.8659  0.5762
Br  0.7721  0.7335  0.4470
Br  0.8005  0.1205  0.3434
Br  0.8430  0.0011  0.2237
Br  0.8724  0.6095  0.3218
Br  0.8716  0.8578  0.0800
Br  0.9563  0.4648  0.1766
Br  0.9716  0.3338  0.0469

Top 10 peaks for 2θ from 10° to 80°, by angle:
2θ/deg  Rel. int.
14.29  28
16.18  34
27.15  100
32.68  10
35.70  51
41.65  39
46.96  22
50.42  13
70.57  11
72.14  9


Computed powder diffraction line list of CeAl20Cr2 for Cu Kα (weighted mean of Kα1 and Kα2), from a DFT-relaxed cell (GGA-PBE, the Materials Project).

Structure:
Cell lengths 10.2140, 10.2140, 10.2140 Å; angles 60.00, 60.00, 60.00 degrees
Fractional positions:
Ce  0.1250  0.1250  0.1250
Ce  0.8750  0.8750  0.8750
Al  0.0000  0.0000  0.0000
Al  0.0000  0.0000  0.5000
Al  0.0000  0.5000  0.0000
Al  0.0566  0.3262  0.3262
Al  0.0566  0.3262  0.7911
Al  0.0566  0.7911  0.3262
Al  0.2089  0.6738  0.6738
Al  0.2089  0.6738  0.9434
Al  0.2089  0.9434  0.6738
Al  0.2388  0.2388  0.5112
Al  0.2388  0.5112  0.2388
Al  0.2388  0.5112  0.5112
Al  0.3262  0.0566  0.3262
Al  0.3262  0.0566  0.7911
Al  0.3262  0.3262  0.0566
Al  0.3262  0.3262  0.7911
Al  0.3262  0.7911  0.0566
Al  0.3262  0.7911  0.3262
Al  0.4888  0.4888  0.7612
Al  0.4888  0.7612  0.4888
Al  0.4888  0.7612  0.7612
Al  0.5000  0.0000  0.0000
Al  0.5112  0.2388  0.2388
Al  0.5112  0.2388  0.5112
Al  0.5112  0.5112  0.2388
Al  0.6738  0.2089  0.6738
Al  0.6738  0.2089  0.9434
Al  0.6738  0.6738  0.2089
Al  0.6738  0.6738  0.9434
Al  0.6738  0.9434  0.2089
Al  0.6738  0.9434  0.6738
Al  0.7612  0.4888  0.4888
Al  0.7612  0.4888  0.7612
Al  0.7612  0.7612  0.4888
Al  0.7911  0.0566  0.3262
Al  0.7911  0.3262  0.0566
Al  0.7911  0.3262  0.3262
Al  0.9434  0.2089  0.6738
Al  0.9434  0.6738  0.2089
Al  0.9434  0.6738  0.6738
Cr  0.0000  0.5000  0.5000
Cr  0.5000  0.0000  0.5000
Cr  0.5000  0.5000  0.0000
Cr  0.5000  0.5000  0.5000

Top 10 peaks for 2θ from 10° to 80°, by angle:
2θ/deg  Rel. int.
17.36  54
20.39  92
35.14  50
36.81  100
39.45  69
40.97  100
41.47  77
53.86  46
65.95  27
74.29  45


Computed powder diffraction line list of Ba for Cu Kα (weighted mean of Kα1 and Kα2), from a DFT-relaxed cell (GGA-PBE, the Materials Project).

Structure:
Cell lengths 4.3564, 4.3564, 4.3564 Å; angles 109.47, 109.47, 109.47 degrees
Fractional positions:
Ba  0.0000  0.0000  0.0000

Top 8 peaks for 2θ from 10° to 80°, by angle:
2θ/deg  Rel. int.
25.03  100
35.70  20
44.10  43
51.38  14
57.98  19
64.13  5
69.98  22
75.62  2


Computed powder diffraction line list of Cs2U3Te2O14 for Cu Kα (weighted mean of Kα1 and Kα2), from a DFT-relaxed cell (GGA-PBE, the Materials Project).

Structure:
Cell lengths 7.0411, 7.8143, 8.7464 Å; angles 111.70, 99.78, 98.73 degrees
Fractional positions:
Cs  0.2011  0.3673  0.3226
Cs  0.7989  0.6327  0.6774
U  0.0999  0.1780  0.7299
U  0.5000  0.0000  0.5000
U  0.9001  0.8220  0.2701
Te  0.3498  0.6728  0.0289
Te  0.6502  0.3272  0.9711
O  0.1008  0.3830  0.6700
O  0.1247  0.9941  0.8103
O  0.1390  0.7438  0.1262
O  0.1800  0.0044  0.4746
O  0.3011  0.4166  0.0042
O  0.4644  0.8089  0.5762
O  0.4665  0.2234  0.7540
O  0.5335  0.7766  0.2460
O  0.5356  0.1911  0.4238
O  0.6989  0.5834  0.9958
O  0.8200  0.9956  0.5254
O  0.8610  0.2562  0.8738
O  0.8753  0.0059  0.1897
O  0.8992  0.6170  0.3300

Top 10 peaks for 2θ from 10° to 80°, by angle:
2θ/deg  Rel. int.
13.01  100
23.05  42
23.18  39
26.10  42
26.18  24
26.48  58
27.03  55
29.26  25
30.80  27
43.02  21


Computed powder diffraction line list of Ba2MgSi2O7 for Cu Kα (weighted mean of Kα1 and Kα2), from a DFT-relaxed cell (GGA-PBE, the Materials Project).

Structure:
Cell lengths 6.9201, 6.9201, 8.5651 Å; angles 102.63, 102.63, 104.08 degrees
Fractional positions:
Ba  0.1841  0.2694  0.4753
Ba  0.2694  0.1841  0.9753
Ba  0.7306  0.8159  0.0247
Ba  0.8159  0.7306  0.5247
Mg  0.2573  0.7427  0.2500
Mg  0.7427  0.2573  0.7500
Si  0.1699  0.6041  0.8650
Si  0.3959  0.8301  0.6350
Si  0.6041  0.1699  0.3650
Si  0.8301  0.3959  0.1350
O  0.0238  0.7560  0.8689
O  0.0438  0.3558  0.7720
O  0.2440  0.9762  0.6311
O  0.3265  0.6241  0.0461
O  0.3327  0.6673  0.7500
O  0.3558  0.0438  0.2720
O  0.3759  0.6735  0.4539
O  0.6241  0.3265  0.5461
O  0.6442  0.9562  0.7280
O  0.6673  0.3327  0.2500
O  0.6735  0.3759  0.9539
O  0.7560  0.0238  0.3689
O  0.9562  0.6442  0.2280
O  0.9762  0.2440  0.1311

Top 10 peaks for 2θ from 10° to 80°, by angle:
2θ/deg  Rel. int.
16.25  17
22.21  28
22.35  27
27.63  100
27.75  61
30.25  49
30.73  24
43.39  20
45.59  22
46.05  25


Computed powder diffraction line list of Zr4Co4Si7 for Cu Kα (weighted mean of Kα1 and Kα2), from a DFT-relaxed cell (GGA-PBE, the Materials Project).

Structure:
Cell lengths 9.4913, 9.4913, 9.4913 Å; angles 94.10, 94.10, 148.96 degrees
Fractional positions:
Zr  0.0000  0.1970  0.1970
Zr  0.0000  0.8030  0.8030
Zr  0.1970  0.0000  0.1970
Zr  0.3623  0.3623  0.7247
Zr  0.3623  0.6377  0.0000
Zr  0.6377  0.3623  0.0000
Zr  0.6377  0.6377  0.2753
Zr  0.8030  0.0000  0.8030
Co  0.1028  0.6028  0.2056
Co  0.1028  0.8972  0.5000
Co  0.3972  0.6028  0.5000
Co  0.3972  0.8972  0.7944
Co  0.6028  0.1028  0.2056
Co  0.6028  0.3972  0.5000
Co  0.8972  0.1028  0.5000
Co  0.8972  0.3972  0.7944
Si  0.0000  0.4081  0.4081
Si  0.0000  0.5920  0.5920
Si  0.1966  0.5000  0.6966
Si  0.2114  0.2114  0.4227
Si  0.2114  0.7886  0.0000
Si  0.2493  0.2493  0.0000
Si  0.4081  0.0000  0.4081
Si  0.5000  0.1966  0.6966
Si  0.5000  0.8034  0.3034
Si  0.5920  0.0000  0.5920
Si  0.7507  0.7507  0.0000
Si  0.7886  0.2114  0.0000
Si  0.7886  0.7886  0.5773
Si  0.8034  0.5000  0.3034

Top 10 peaks for 2θ from 10° to 80°, by angle:
2θ/deg  Rel. int.
27.13  13
30.51  23
33.58  20
35.36  13
39.08  100
39.41  29
41.89  95
46.55  13
65.95  20
66.20  28


Computed powder diffraction line list of AlInSb2 for Cu Kα (weighted mean of Kα1 and Kα2), from a DFT-relaxed cell (GGA-PBE, the Materials Project).

Structure:
Cell lengths 7.8557, 7.8557, 7.8557 Å; angles 33.69, 33.69, 33.69 degrees
Fractional positions:
Al  0.0000  0.0000  0.0000
In  0.4994  0.4994  0.4994
Sb  0.3703  0.3703  0.3703
Sb  0.8791  0.8791  0.8791

Top 10 peaks for 2θ from 10° to 80°, by angle:
2θ/deg  Rel. int.
11.95  9
23.97  100
39.59  38
39.71  36
46.84  36
46.96  12
57.32  12
62.93  10
71.89  18
77.03  11


Computed powder diffraction line list of CeBRh3 for Cu Kα (weighted mean of Kα1 and Kα2), from a DFT-relaxed cell (GGA-PBE, the Materials Project).

Structure:
Cell lengths 4.2442, 4.2442, 4.2442 Å; angles 90.00, 90.00, 90.00 degrees
Fractional positions:
Ce  0.0000  0.0000  0.0000
B  0.5000  0.5000  0.5000
Rh  0.0000  0.5000  0.5000
Rh  0.5000  0.0000  0.5000
Rh  0.5000  0.5000  0.0000

Top 9 peaks for 2θ from 10° to 80°, by angle:
2θ/deg  Rel. int.
20.93  1
29.77  2
36.68  100
42.60  52
47.93  1
52.84  1
61.83  34
74.09  37
77.99  11